Diffraction record for Ac2Ga6CuTc. The powder X-ray diffraction pattern is computed, not measured: it uses DFT lattice parameters and positions (PBE) and λ = 1.5418 Å (Cu Kα).

```
data_Ac2Ga6CuTc
_chemical_formula_sum 'Ac4 Ga12 Cu2 Tc2'
_cell_length_a 6.793
_cell_length_b 6.839
_cell_length_c 9.645
_cell_angle_alpha 90.00
_cell_angle_beta 90.00
_cell_angle_gamma 90.00
_space_group_name_H-M_alt 'I m m m'
_space_group_IT_number 71
_space_group_name_Hall '-I 2 2'
loop_
_atom_site_label
_atom_site_fract_x
_atom_site_fract_y
_atom_site_fract_z
_atom_site_occupancy
Ac1 0.000 0.000 0.250 1
Ga1 0.000 0.500 0.243 1
Ga2 0.243 0.256 0.000 1
Cu1 0.000 0.500 0.000 1
Tc1 0.000 0.500 0.500 1
```

Most intense lines, 2θ from 10° to 80°, in order of falling intensity:
2θ (°)	Rel. int.	index
37.31	100	2 2 0
26.12	82	1 1 2
53.78	46	2 2 4
32.09	46	0 2 2
32.24	45	2 0 2
46.03	22	1 3 2
46.22	21	3 1 2
63.96	19	2 4 2
26.24	16	2 0 0
64.21	12	4 2 2

Diffraction record for Ac3CuGe. The powder X-ray diffraction pattern is computed, not measured: it uses DFT lattice parameters and positions (PBE) and λ = 1.5418 Å (Cu Kα).

```
data_Ac3CuGe
_chemical_formula_sum 'Ac6 Cu2 Ge2'
_cell_length_a 4.368
_cell_length_b 8.603
_cell_length_c 8.985
_cell_angle_alpha 89.28
_cell_angle_beta 89.82
_cell_angle_gamma 75.51
_space_group_name_H-M_alt 'P 1'
_space_group_IT_number 1
_space_group_name_Hall 'P 1'
loop_
_atom_site_label
_atom_site_fract_x
_atom_site_fract_y
_atom_site_fract_z
_atom_site_occupancy
Ac1 0.000 0.000 0.000 1
Ac2 0.092 0.822 0.358 1
Ac3 0.291 0.422 0.996 1
Ac4 0.435 0.123 0.611 1
Ac5 0.657 0.699 0.747 1
Ac6 0.801 0.400 0.361 1
Cu1 0.263 0.482 0.625 1
Cu2 0.830 0.341 0.733 1
Ge1 0.436 0.130 0.246 1
Ge2 0.656 0.692 0.112 1
```

Most intense lines, 2θ from 10° to 80°, in order of falling intensity:
2θ (°)	Rel. int.	index
27.77	100	1 2 1
28.97	74	1 1 2
29.42	51	0 2 -2
23.40	41	0 2 1
36.76	39	0 2 3
41.34	36	2 1 0
29.83	33	0 0 3
33.90	24	1 3 0
27.96	24	1 2 -1
32.24	21	0 3 0

Diffraction record for Ac2Cu6Ge3. The powder X-ray diffraction pattern is computed, not measured: it uses DFT lattice parameters and positions (PBE) and λ = 1.5418 Å (Cu Kα).

```
data_Ac2Cu6Ge3
_chemical_formula_sum 'Ac2 Cu6 Ge3'
_cell_length_a 7.6216
_cell_length_b 7.6216
_cell_length_c 4.2109
_cell_angle_alpha 90.00
_cell_angle_beta 90.00
_cell_angle_gamma 120.00
_space_group_name_H-M_alt 'P -6 2 m'
_space_group_IT_number 189
_space_group_name_Hall 'P -6 -2'
loop_
_atom_site_label
_atom_site_fract_x
_atom_site_fract_y
_atom_site_fract_z
_atom_site_occupancy
Ac1 0.3333 0.6667 0.0000 1
Cu1 0.0000 0.2921 0.5000 1
Cu2 0.0000 0.8126 0.0000 1
Ge1 0.0000 0.6481 0.5000 1
```

Most intense lines, 2θ from 10° to 80°, in order of falling intensity:
2θ (°)	Rel. int.	index
31.67	100	1 1 1
41.02	34	3 0 0
42.10	31	2 1 1
68.90	23	4 1 1
60.90	21	3 0 2
42.96	20	0 0 2
52.73	19	2 2 1
36.00	18	2 1 0
23.34	16	1 1 0
27.02	12	2 0 0

Diffraction record for AcHo2Cu2Ge2. The powder X-ray diffraction pattern is computed, not measured: it uses DFT lattice parameters and positions (PBE) and λ = 1.5418 Å (Cu Kα).

```
data_AcHo2Cu2Ge2
_chemical_formula_sum 'Ac3 Ho6 Cu6 Ge6'
_cell_length_a 4.3783
_cell_length_b 4.3783
_cell_length_c 28.7600
_cell_angle_alpha 90.00
_cell_angle_beta 90.00
_cell_angle_gamma 120.00
_space_group_name_H-M_alt 'R -3 m'
_space_group_IT_number 166
_space_group_name_Hall '-R 3 2"'
loop_
_atom_site_label
_atom_site_fract_x
_atom_site_fract_y
_atom_site_fract_z
_atom_site_occupancy
Ac1 0.0000 0.0000 0.0000 1
Ho1 0.0000 0.0000 0.1299 1
Cu1 0.0000 0.0000 0.4132 1
Ge1 0.0000 0.0000 0.2540 1
```

Most intense lines, 2θ from 10° to 80°, in order of falling intensity:
2θ (°)	Rel. int.	index
32.12	100	1 0 7
41.24	89	1 1 0
34.38	85	0 1 8
23.67	55	1 0 1
64.62	27	1 1 15
53.21	24	0 2 7
54.74	23	2 0 8
69.46	22	2 1 7
70.77	21	1 2 8
50.54	19	1 1 9

Diffraction record for AcLa2Cu2Ge2. The powder X-ray diffraction pattern is computed, not measured: it uses DFT lattice parameters and positions (PBE) and λ = 1.5418 Å (Cu Kα).

```
data_AcLa2Cu2Ge2
_chemical_formula_sum 'Ac3 La6 Cu6 Ge6'
_cell_length_a 4.3938
_cell_length_b 4.3938
_cell_length_c 29.9733
_cell_angle_alpha 90.00
_cell_angle_beta 90.00
_cell_angle_gamma 120.00
_space_group_name_H-M_alt 'R -3 m'
_space_group_IT_number 166
_space_group_name_Hall '-R 3 2"'
loop_
_atom_site_label
_atom_site_fract_x
_atom_site_fract_y
_atom_site_fract_z
_atom_site_occupancy
Ac1 0.0000 0.0000 0.0000 1
La1 0.0000 0.0000 0.1346 1
Cu1 0.0000 0.0000 0.4087 1
Ge1 0.0000 0.0000 0.2591 1
```

Most intense lines, 2θ from 10° to 80°, in order of falling intensity:
2θ (°)	Rel. int.	index
31.45	100	1 0 7
41.09	76	1 1 0
33.57	73	0 1 8
23.57	40	1 0 1
62.87	34	1 1 15
52.64	23	0 2 7
68.87	21	2 1 7
54.06	19	2 0 8
70.08	17	1 2 8
45.39	15	0 0 15

Diffraction record for Ac3Mg2Cu2Ge4. The powder X-ray diffraction pattern is computed, not measured: it uses DFT lattice parameters and positions (PBE) and λ = 1.5418 Å (Cu Kα).

```
data_Ac3Mg2Cu2Ge4
_chemical_formula_sum 'Ac3 Mg2 Cu2 Ge4'
_cell_length_a 4.4668
_cell_length_b 4.4668
_cell_length_c 16.1490
_cell_angle_alpha 90.00
_cell_angle_beta 90.00
_cell_angle_gamma 120.00
_space_group_name_H-M_alt 'P -3 m 1'
_space_group_IT_number 164
_space_group_name_Hall '-P 3 2"'
loop_
_atom_site_label
_atom_site_fract_x
_atom_site_fract_y
_atom_site_fract_z
_atom_site_occupancy
Ac1 0.0000 0.0000 0.0000 1
Ac2 0.0000 0.0000 0.2688 1
Mg1 0.3333 0.6667 0.5585 1
Cu1 0.3333 0.6667 0.1354 1
Ge1 0.3333 0.6667 0.3844 1
Ge2 0.3333 0.6667 0.8690 1
```

Most intense lines, 2θ from 10° to 80°, in order of falling intensity:
2θ (°)	Rel. int.	index
32.04	100	0 1 4
40.39	52	1 1 0
28.41	43	0 1 3
22.99	28	1 0 0
52.46	25	2 0 4
68.22	23	1 2 4
57.43	18	1 1 7
25.53	16	0 1 2
61.97	15	1 1 8
45.79	11	1 0 7